Diffraction record for Ca3NiN3. The powder diffractogram is calculated, not measured: it uses a structure optimized by DFT (GGA-PBE) and a wavelength of 1.5418 Å.

Crystal structure
```
Ca3NiN3
1.0
7.140 0.000 0.000
-3.570 6.183 0.000
0.000 0.000 5.009
Ca Ni N
6 2 6
Direct
0.082 0.361 0.250
0.279 0.918 0.250
0.361 0.279 0.750
0.639 0.721 0.250
0.721 0.082 0.750
0.918 0.639 0.750
0.333 0.667 0.750
0.667 0.333 0.250
0.098 0.400 0.750
0.302 0.902 0.750
0.400 0.302 0.250
0.600 0.698 0.750
0.698 0.098 0.250
0.902 0.600 0.250
```

Principal peaks in the range 2θ = 10–80°, in order of rising 2θ:
2theta  Rel. int.
14.32  52
22.85  44
30.75  47
34.08  100
35.85  76
38.52  50
42.69  31
43.93  42
53.64  33
57.95  34